Computed powder XRD pattern of Li2ThTe3 for Cu Kα X-rays, from a cell relaxed with GGA-PBE.

The 10 most intense peaks (2θ from 10° to 90°), low angle first:
| 2θ (°) | I (rel.) | index |
| --- | --- | --- |
| 13.72 | 330 | 0 2 0 |
| 15.83 | 498 | 0 1 1 |
| 21.16 | 284 | 1 1 0 |
| 28.31 | 298 | 1 2 1 |
| 28.74 | 508 | 0 0 2 |
| 28.89 | 1000 | 1 3 0 |
| 40.65 | 200 | 2 0 0 |
| 41.21 | 769 | 1 3 2 |
| 50.54 | 214 | 2 0 2 |
| 51.67 | 217 | 0 6 2 |

Cell and atoms:
abc: 4.4390 12.9124 6.2129
angles: 90.00 90.00 90.00
Space group Pmmn (No. 59, origin choice 2)
Asymmetric unit:
Li: 0.2500 0.0917 0.2486 (multiplicity 4)
Th: 0.2500 0.7500 0.2515 (multiplicity 2)
Te: 0.2500 0.0797 0.7495 (multiplicity 4)
Te: 0.2500 0.7500 0.7513 (multiplicity 2)

=====

Computed powder XRD pattern of LiThTlTe3 for Cu Kα X-rays, from a cell relaxed with GGA-PBE.

The 10 most intense peaks (2θ from 10° to 90°), low angle first:
| 2θ (°) | I (rel.) | index |
| --- | --- | --- |
| 18.93 | 238 | 2 0 0 |
| 21.51 | 123 | 0 1 1 |
| 27.27 | 1000 | 2 1 -1 |
| 27.47 | 238 | 0 0 3 |
| 33.32 | 168 | 1 1 -3 |
| 35.56 | 299 | 2 1 2 |
| 37.22 | 188 | 4 0 -1 |
| 39.51 | 191 | 0 2 0 |
| 42.88 | 145 | 3 1 2 |
| 55.40 | 121 | 4 2 -1 |

Cell and atoms:
abc: 9.6634 4.5611 10.0438
angles: 90.00 104.12 90.00
Space group P2_1/m (No. 11)
Asymmetric unit:
Li: 0.0805 0.2500 0.0906 (multiplicity 2)
Th: 0.3235 0.7500 0.3368 (multiplicity 2)
Tl: 0.1889 0.2500 0.7477 (multiplicity 2)
Te: 0.1158 0.2500 0.3764 (multiplicity 2)
Te: 0.2150 0.7500 0.0242 (multiplicity 2)
Te: 0.4473 0.7500 0.6652 (multiplicity 2)

=====

Computed powder XRD pattern of LiTi4Te8 for Cu Kα X-rays, from a cell relaxed with GGA-PBE.

The 10 most intense peaks (2θ from 10° to 90°), low angle first:
| 2θ (°) | I (rel.) | index |
| --- | --- | --- |
| 13.54 | 119 | 1 1 1 |
| 27.28 | 905 | 2 2 2 |
| 31.60 | 1000 | 4 0 0 |
| 45.30 | 722 | 4 4 0 |
| 53.69 | 409 | 6 2 2 |
| 56.28 | 240 | 4 4 4 |
| 65.99 | 110 | 8 0 0 |
| 72.81 | 160 | 6 6 2 |
| 75.02 | 289 | 8 4 0 |
| 83.67 | 218 | 8 4 4 |

Cell and atoms:
abc: 11.3247 11.3247 11.3247
angles: 90.00 90.00 90.00
Space group F-43m (No. 216)
Asymmetric unit:
Li: 0.0000 0.0000 0.0000 (multiplicity 4)
Ti: 0.1187 0.1187 0.3813 (multiplicity 16)
Te: 0.1262 0.1262 0.6262 (multiplicity 16)
Te: 0.1324 0.1324 0.1324 (multiplicity 16)

=====

Computed powder XRD pattern of LiTi5Te10 for Cu Kα X-rays, from a cell relaxed with GGA-PBE.

The 10 most intense peaks (2θ from 10° to 90°), low angle first:
| 2θ (°) | I (rel.) | index |
| --- | --- | --- |
| 12.52 | 99 | 0 1 -1 |
| 25.20 | 213 | 0 2 -2 |
| 29.99 | 1000 | 2 1 -2 |
| 37.34 | 185 | 1 -1 3 |
| 37.41 | 160 | 2 2 -3 |
| 47.42 | 118 | 2 -3 2 |
| 47.53 | 167 | 1 4 -2 |
| 47.96 | 244 | 3 1 0 |
| 54.98 | 101 | 3 3 -2 |
| 73.27 | 87 | 3 5 -4 |

Cell and atoms:
abc: 6.5753 8.0210 9.6416
angles: 111.49 109.80 90.16
Space group P-1 (No. 2)
Asymmetric unit:
Li: 0.0000 0.0000 0.0000 (multiplicity 1)
Ti: 0.0967 0.7037 0.2019 (multiplicity 2)
Ti: 0.3055 0.1009 0.6000 (multiplicity 2)
Ti: 0.5000 0.5000 0.0000 (multiplicity 1)
Te: 0.0168 0.9491 0.6927 (multiplicity 2)
Te: 0.1861 0.4455 0.7026 (multiplicity 2)
Te: 0.2174 0.3592 0.1013 (multiplicity 2)
Te: 0.3879 0.8459 0.1021 (multiplicity 2)
Te: 0.4131 0.7527 0.4973 (multiplicity 2)

=====

Computed powder XRD pattern of LiTiTlTe3 for Cu Kα X-rays, from a cell relaxed with GGA-PBE.

The 10 most intense peaks (2θ from 10° to 90°), low angle first:
| 2θ (°) | I (rel.) | index |
| --- | --- | --- |
| 25.03 | 241 | 1 0 -3 |
| 26.58 | 474 | 2 0 1 |
| 28.13 | 325 | 1 1 -2 |
| 28.30 | 882 | 0 1 2 |
| 30.53 | 1000 | 2 1 -1 |
| 33.49 | 280 | 1 0 -4 |
| 34.74 | 257 | 2 1 1 |
| 35.13 | 224 | 3 0 -3 |
| 41.83 | 185 | 3 1 -3 |
| 44.83 | 256 | 0 2 0 |

Cell and atoms:
abc: 8.5097 4.0437 10.7131
angles: 90.00 109.75 90.00
Space group P2_1/m (No. 11)
Asymmetric unit:
Li: 0.0671 0.2500 0.1049 (multiplicity 2)
Ti: 0.3014 0.7500 0.3331 (multiplicity 2)
Tl: 0.2724 0.2500 0.7941 (multiplicity 2)
Te: 0.0883 0.2500 0.3620 (multiplicity 2)
Te: 0.2659 0.7500 0.0720 (multiplicity 2)
Te: 0.4490 0.7500 0.6186 (multiplicity 2)

=====

Computed powder XRD pattern of LiTm2TlTe4 for Cu Kα X-rays, from a cell relaxed with GGA-PBE.

The 10 most intense peaks (2θ from 10° to 90°), low angle first:
| 2θ (°) | I (rel.) | index |
| --- | --- | --- |
| 20.93 | 523 | 0 2 3 |
| 25.88 | 498 | 0 2 4 |
| 27.21 | 315 | 1 3 0 |
| 27.81 | 1000 | 1 3 1 |
| 29.56 | 808 | 1 3 2 |
| 35.82 | 451 | 1 1 5 |
| 38.51 | 278 | 1 5 2 |
| 40.70 | 709 | 0 6 3 |
| 40.98 | 372 | 2 0 0 |
| 59.10 | 245 | 2 6 3 |

Cell and atoms:
abc: 4.4047 14.7284 15.5796
angles: 90.00 90.00 90.00
Space group Cmcm (No. 63)
Asymmetric unit:
Li: 0.0000 0.1658 0.2500 (multiplicity 4)
Tm: 0.0000 0.3669 0.5649 (multiplicity 8)
Tl: 0.0000 0.1138 0.7500 (multiplicity 4)
Te: 0.0000 0.0000 0.0000 (multiplicity 4)
Te: 0.0000 0.2687 0.1077 (multiplicity 8)
Te: 0.0000 0.4385 0.7500 (multiplicity 4)

=====

Computed powder XRD pattern of LiZr2Tl3Te6 for Cu Kα X-rays, from a cell relaxed with GGA-PBE.

The 10 most intense peaks (2θ from 10° to 90°), low angle first:
| 2θ (°) | I (rel.) | index |
| --- | --- | --- |
| 24.38 | 145 | 2 0 -1 |
| 28.31 | 1000 | 1 3 1 |
| 30.43 | 204 | 1 3 -2 |
| 33.28 | 91 | 0 0 3 |
| 38.37 | 123 | 2 0 2 |
| 38.47 | 239 | 1 3 -3 |
| 42.40 | 356 | 3 3 -1 |
| 51.81 | 123 | 2 6 -2 |
| 54.98 | 88 | 3 3 -4 |
| 69.06 | 153 | 4 6 0 |

Cell and atoms:
abc: 7.3904 12.7811 8.4381
angles: 90.00 106.81 90.00
Space group C2/m (No. 12)
Asymmetric unit:
Li: 0.0000 0.0000 0.0000 (multiplicity 2)
Zr: 0.0000 0.3336 0.0000 (multiplicity 4)
Tl: 0.0000 0.1653 0.5000 (multiplicity 4)
Tl: 0.0000 0.5000 0.5000 (multiplicity 2)
Te: 0.2254 0.5000 0.2027 (multiplicity 4)
Te: 0.2410 0.1721 0.2072 (multiplicity 8)

=====

Computed powder XRD pattern of Li3Tm5Te8 for Cu Kα X-rays, from a cell relaxed with GGA-PBE.

The 10 most intense peaks (2θ from 10° to 90°), low angle first:
| 2θ (°) | I (rel.) | index |
| --- | --- | --- |
| 12.60 | 190 | 0 0 3 |
| 24.40 | 117 | 0 2 1 |
| 29.47 | 1000 | 0 2 4 |
| 42.05 | 379 | 2 0 8 |
| 42.27 | 375 | 2 2 0 |
| 52.37 | 200 | 4 0 4 |
| 61.15 | 125 | 0 4 8 |
| 69.16 | 171 | 2 2 12 |
| 69.48 | 170 | 2 4 4 |
| 77.14 | 126 | 4 2 8 |

Cell and atoms:
abc: 8.5518 8.5518 21.1087
angles: 90.00 90.00 120.00
Space group R-3m (No. 166, hexagonal axes)
Asymmetric unit:
Li: 0.0000 0.5000 0.0000 (multiplicity 9)
Tm: 0.0000 0.0000 0.0000 (multiplicity 3)
Tm: 0.0000 0.0000 0.5000 (multiplicity 3)
Tm: 0.0000 0.5000 0.5000 (multiplicity 9)
Te: 0.0000 0.0000 0.2515 (multiplicity 6)
Te: 0.0042 0.5021 0.2521 (multiplicity 18)

=====

Computed powder XRD pattern of Li3UTe4 for Cu Kα X-rays, from a cell relaxed with GGA-PBE.

The 10 most intense peaks (2θ from 10° to 90°), low angle first:
| 2θ (°) | I (rel.) | index |
| --- | --- | --- |
| 14.92 | 220 | 2 0 0 |
| 16.46 | 759 | 1 1 0 |
| 25.68 | 346 | 2 1 1 |
| 29.56 | 1000 | 0 2 0 |
| 30.10 | 474 | 4 0 0 |
| 34.02 | 269 | 1 2 1 |
| 42.30 | 378 | 0 2 2 |
| 42.69 | 733 | 4 2 0 |
| 52.78 | 395 | 4 2 2 |
| 77.62 | 256 | 4 4 2 |

Cell and atoms:
abc: 11.8764 6.0426 6.0452
angles: 90.00 90.00 90.00
Space group Pmn2_1 (No. 31)
Asymmetric unit:
Li: 0.0000 0.2484 0.9997 (multiplicity 2)
Li: 0.2499 0.2493 0.5000 (multiplicity 4)
U: 0.0000 0.7496 0.4986 (multiplicity 2)
Te: 0.0000 0.2494 0.4991 (multiplicity 2)
Te: 0.0000 0.7489 0.9988 (multiplicity 2)
Te: 0.2448 0.7498 0.4992 (multiplicity 4)

=====

Computed powder XRD pattern of Li4UTe4 for Cu Kα X-rays, from a cell relaxed with GGA-PBE.

The 10 most intense peaks (2θ from 10° to 90°), low angle first:
| 2θ (°) | I (rel.) | index |
| --- | --- | --- |
| 14.63 | 527 | 1 0 1 |
| 18.31 | 146 | 1 1 0 |
| 22.92 | 1000 | 1 1 2 |
| 24.37 | 139 | 1 0 3 |
| 29.97 | 163 | 2 1 1 |
| 37.11 | 318 | 2 2 0 |
| 38.24 | 504 | 2 0 4 |
| 44.07 | 351 | 3 1 2 |
| 46.02 | 156 | 1 1 6 |
| 67.65 | 188 | 4 2 4 |

Cell and atoms:
abc: 6.8518 6.8518 12.9545
angles: 90.00 90.00 90.00
Space group I-42m (No. 121)
Asymmetric unit:
Li: 0.0000 0.0000 0.2314 (multiplicity 4)
Li: 0.0000 0.5000 0.0000 (multiplicity 4)
U: 0.0000 0.0000 0.5000 (multiplicity 2)
Te: 0.2446 0.2446 0.6265 (multiplicity 8)

=====

Computed powder XRD pattern of Li2UTe3 for Cu Kα X-rays, from a cell relaxed with GGA-PBE.

The 10 most intense peaks (2θ from 10° to 90°), low angle first:
| 2θ (°) | I (rel.) | index |
| --- | --- | --- |
| 13.09 | 405 | 1 1 1 |
| 21.30 | 145 | 1 1 5 |
| 29.33 | 1000 | 2 0 6 |
| 41.75 | 128 | 0 0 12 |
| 41.95 | 507 | 2 4 6 |
| 42.24 | 150 | 4 0 0 |
| 51.81 | 146 | 0 4 12 |
| 52.22 | 148 | 4 4 0 |
| 68.94 | 235 | 2 8 6 |
| 76.38 | 132 | 0 8 12 |

Cell and atoms:
abc: 8.5591 12.1938 25.9631
angles: 90.00 90.00 90.00
Space group Fddd (No. 70, origin choice 2)
Asymmetric unit:
Li: 0.1250 0.1250 0.0396 (multiplicity 16)
Li: 0.1250 0.1250 0.3793 (multiplicity 16)
U: 0.1250 0.1250 0.5419 (multiplicity 16)
Te: 0.1226 0.3751 0.2089 (multiplicity 32)
Te: 0.1227 0.3750 0.3750 (multiplicity 16)

=====

Computed powder XRD pattern of LiVTe for Cu Kα X-rays, from a cell relaxed with GGA-PBE.

The 10 most intense peaks (2θ from 10° to 90°), low angle first:
| 2θ (°) | I (rel.) | index |
| --- | --- | --- |
| 10.25 | 929 | 1 0 0 |
| 20.59 | 386 | 2 0 0 |
| 23.05 | 924 | 1 2 0 |
| 25.56 | 209 | 1 0 1 |
| 27.61 | 866 | 1 1 1 |
| 39.25 | 1000 | 3 0 1 |
| 43.23 | 297 | 1 4 0 |
| 44.55 | 310 | 3 3 0 |
| 44.72 | 200 | 3 2 1 |
| 53.21 | 211 | 4 2 1 |

Cell and atoms:
abc: 8.6294 8.6294 3.8089
angles: 90.00 90.00 90.00
Space group P4_2/m (No. 84)
Asymmetric unit:
Li: 0.1337 0.3411 0.0000 (multiplicity 4)
V: 0.3553 0.5066 0.5000 (multiplicity 4)
Te: 0.1875 0.6789 0.0000 (multiplicity 4)